No. 1
This entry pairs a crystal structure of Zr4HAu with its calculated X-ray powder pattern. Radiation: a wavelength of 1.5418 Å. Structure: a PBE-relaxed structure.
Intensities are scaled so that the largest is 100.

Largest 8 diffraction maxima, by angle, 10 to 90 degrees two-theta:
- 2θ 15.9, intensity 25
- 2θ 23.6, intensity 32
- 2θ 27.9, intensity 47
- 2θ 35.0, intensity 57
- 2θ 35.1, intensity 37
- 2θ 35.7, intensity 62
- 2θ 36.3, intensity 100
- 2θ 37.9, intensity 36

```
12
Lattice="3.635 -7.037 0.000 3.635 7.037 0.000 -2.948 0.000 4.459" Properties=species:S:1:pos:R:3 pbc="T T T"
Zr 0.054 4.025 3.881
Zr -0.198 0.916 2.708
Zr 1.275 -0.916 0.479
Zr 2.794 4.025 2.808
Zr 1.528 -4.025 1.652
Zr 3.046 0.916 3.981
Zr 4.520 -0.916 1.751
Zr 4.268 -4.025 0.578
H 2.898 6.720 1.115
H 1.424 -6.720 3.344
Au 2.898 1.447 1.115
Au 1.424 -1.447 3.344
```

***

No. 2
This entry pairs a crystal structure of CaPaO4 with its calculated X-ray powder pattern. Radiation: a wavelength of 1.5418 Å. Structure: a PBE-relaxed structure.
Intensities are scaled so that the largest is 100.

Largest 8 diffraction maxima, by angle, 10 to 90 degrees two-theta:
- 2θ 18.1, intensity 71
- 2θ 28.4, intensity 100
- 2θ 32.4, intensity 20
- 2θ 37.4, intensity 21
- 2θ 46.5, intensity 19
- 2θ 47.6, intensity 36
- 2θ 55.4, intensity 31
- 2θ 57.4, intensity 22

```
12
Lattice="-2.763 2.763 5.285 2.763 -2.763 5.285 2.763 2.763 -5.285" Properties=species:S:1:pos:R:3 pbc="T T T"
Ca 2.763 1.382 1.321
Ca 0.000 1.382 3.963
Pa 2.763 -1.382 3.963
Pa 0.000 4.145 1.321
O 1.265 0.000 0.000
O 4.261 0.000 0.000
O 1.382 2.647 -2.642
O 1.382 -0.116 2.642
O 1.265 2.763 0.000
O 1.498 0.000 5.285
O -1.382 2.879 2.642
O 1.382 2.879 2.642
```

***

No. 3
This entry pairs a crystal structure of Sr3CdBr8 with its calculated X-ray powder pattern. Radiation: a wavelength of 1.5418 Å. Structure: a PBE-relaxed structure.
Intensities are scaled so that the largest is 100.

Largest 8 diffraction maxima, by angle, 10 to 90 degrees two-theta:
- 2θ 12.3, intensity 62
- 2θ 16.0, intensity 38
- 2θ 24.0, intensity 17
- 2θ 26.9, intensity 52
- 2θ 29.4, intensity 100
- 2θ 40.3, intensity 67
- 2θ 41.8, intensity 18
- 2θ 42.2, intensity 19

```
12
Lattice="4.280 -6.617 0.000 4.280 6.617 0.000 0.000 0.000 8.651" Properties=species:S:1:pos:R:3 pbc="T T T"
Sr 0.000 0.000 0.000
Sr 2.140 3.309 6.444
Sr 2.140 -3.309 2.207
Cd 0.000 0.000 4.325
Br 4.280 3.784 4.325
Br 2.015 0.220 6.341
Br 4.280 3.548 0.000
Br 2.015 -0.220 2.310
Br 6.546 0.220 2.310
Br 4.280 -3.548 0.000
Br 6.546 -0.220 6.341
Br 4.280 -3.784 4.325
```

***

No. 4
This entry pairs a crystal structure of Pm2IrBr with its calculated X-ray powder pattern. Radiation: a wavelength of 1.5418 Å. Structure: a PBE-relaxed structure.
Intensities are scaled so that the largest is 100.

Largest 8 diffraction maxima, by angle, 10 to 90 degrees two-theta:
- 2θ 11.3, intensity 55
- 2θ 26.0, intensity 31
- 2θ 31.4, intensity 100
- 2θ 36.7, intensity 19
- 2θ 43.7, intensity 45
- 2θ 46.2, intensity 26
- 2θ 54.8, intensity 21
- 2θ 72.6, intensity 18

```
4
Lattice="2.070 1.195 7.832 -2.070 1.195 7.832 0.000 -2.390 7.832" Properties=species:S:1:pos:R:3 pbc="T T T"
Pm 0.000 0.000 0.000
Pm 0.000 0.000 4.833
Ir 0.000 0.000 14.161
Br 0.000 0.000 10.170
```

***

No. 5
This entry pairs a crystal structure of Ho6Se5 with its calculated X-ray powder pattern. Radiation: a wavelength of 1.5418 Å. Structure: a PBE-relaxed structure.
Intensities are scaled so that the largest is 100.

Largest 8 diffraction maxima, by angle, 10 to 90 degrees two-theta:
- 2θ 27.3, intensity 38
- 2θ 31.4, intensity 51
- 2θ 31.6, intensity 100
- 2θ 45.1, intensity 37
- 2θ 45.3, intensity 55
- 2θ 45.4, intensity 18
- 2θ 56.2, intensity 29
- 2θ 83.7, intensity 18

```
11
Lattice="3.486 -5.998 0.000 3.486 5.998 0.000 -2.340 0.000 6.541" Properties=species:S:1:pos:R:3 pbc="T T T"
Ho 1.120 1.968 1.586
Ho -0.052 0.000 4.877
Ho 1.120 -1.968 1.586
Ho 3.511 1.968 4.955
Ho 4.683 0.000 1.664
Ho 3.511 -1.968 4.955
Se 2.316 3.917 3.271
Se 3.486 1.965 0.000
Se 2.316 0.000 3.271
Se 3.486 -1.965 0.000
Se 2.316 -3.917 3.271
```